[1]
The following is a theoretical X-ray diffraction stick pattern of UCO5. It was derived from a cell relaxed with GGA-PBE, using Cu Kα X-rays.

Peak list (8 most intense, 2θ from 5° to 70°, sorted by position)
| 2θ (°) | d_spacing | intensity |
| --- | --- | --- |
| 18.40 | 4.821 | 100 |
| 20.36 | 4.362 | 92 |
| 22.43 | 3.964 | 77 |
| 27.45 | 3.250 | 72 |
| 33.25 | 2.694 | 53 |
| 43.48 | 2.081 | 48 |
| 46.68 | 1.946 | 27 |
| 46.93 | 1.936 | 25 |

```
7
Lattice="-2.445 4.821 2.174 2.445 -4.821 2.174 2.445 4.821 -2.174" Properties=species:S:1:pos:R:3 pbc="T T T"
U 0.000 0.000 0.000
C 0.000 4.821 0.492
O 2.445 -3.032 2.162
O 1.153 4.821 -0.071
O 1.292 0.000 2.103
O 2.445 3.032 2.162
O 0.000 4.821 1.797
```



[2]
The following is a theoretical X-ray diffraction stick pattern of Pr2InCuSe5. It was derived from a cell relaxed with GGA-PBE, using Cu Kα X-rays.

Peak list (8 most intense, 2θ from 5° to 70°, sorted by position)
| 2θ (°) | d_spacing | intensity |
| --- | --- | --- |
| 30.71 | 2.911 | 100 |
| 31.13 | 2.873 | 45 |
| 32.68 | 2.740 | 36 |
| 34.40 | 2.607 | 18 |
| 36.78 | 2.444 | 46 |
| 42.34 | 2.135 | 18 |
| 44.12 | 2.053 | 44 |
| 44.51 | 2.036 | 24 |

```
36
Lattice="12.162 0.000 0.000 0.000 4.105 0.000 0.000 0.000 17.563" Properties=species:S:1:pos:R:3 pbc="T T T"
Pr 0.250 1.026 3.145
Pr 1.661 3.079 10.432
Pr 4.420 1.026 1.651
Pr 5.831 3.079 11.927
Pr 6.331 1.026 5.636
Pr 7.743 3.079 15.912
Pr 10.501 1.026 7.131
Pr 11.912 3.079 14.417
In 2.339 3.079 6.340
In 3.742 1.026 15.121
In 8.420 3.079 2.442
In 9.823 1.026 11.223
Cu 0.971 3.079 17.505
Cu 5.110 1.026 8.724
Cu 7.052 3.079 8.839
Cu 11.191 1.026 0.057
Se 0.187 1.026 12.186
Se 1.217 1.026 16.197
Se 1.315 1.026 8.145
Se 2.209 3.079 2.005
Se 2.908 3.079 13.511
Se 3.174 1.026 4.730
Se 3.872 1.026 10.787
Se 4.766 3.079 16.926
Se 4.864 3.079 7.416
Se 5.894 3.079 3.404
Se 6.268 1.026 14.158
Se 7.298 1.026 10.147
Se 7.396 1.026 0.636
Se 8.290 3.079 6.776
Se 8.989 3.079 12.833
Se 9.255 1.026 4.051
Se 9.953 1.026 15.557
Se 10.848 3.079 9.418
Se 10.945 3.079 1.365
Se 11.975 3.079 5.377
```



[3]
The following is a theoretical X-ray diffraction stick pattern of SrZrO3. It was derived from a cell relaxed with GGA-PBE, using Cu Kα X-rays.

Peak list (8 most intense, 2θ from 5° to 70°, sorted by position)
| 2θ (°) | d_spacing | intensity |
| --- | --- | --- |
| 30.33 | 2.947 | 46 |
| 30.45 | 2.935 | 100 |
| 43.42 | 2.084 | 32 |
| 43.79 | 2.067 | 14 |
| 53.96 | 1.699 | 42 |
| 54.20 | 1.692 | 23 |
| 63.09 | 1.474 | 9 |
| 63.37 | 1.468 | 16 |

```
10
Lattice="-2.947 4.134 2.948 2.947 -4.134 2.948 2.947 4.134 -2.948" Properties=species:S:1:pos:R:3 pbc="T T T"
Sr 0.000 2.067 0.074
Sr 2.947 2.067 2.874
Zr 2.947 0.000 0.000
Zr 0.000 0.000 2.948
O 2.947 2.067 -0.508
O 1.473 4.532 -1.474
O 1.473 0.397 1.474
O -1.473 3.737 1.474
O 1.473 3.737 1.474
O 0.000 2.067 3.456
```



[4]
The following is a theoretical X-ray diffraction stick pattern of ThAl2. It was derived from a cell relaxed with GGA-PBE, using Cu Kα X-rays.

Peak list (8 most intense, 2θ from 5° to 70°, sorted by position)
| 2θ (°) | d_spacing | intensity |
| --- | --- | --- |
| 21.31 | 4.170 | 19 |
| 23.27 | 3.823 | 65 |
| 31.75 | 2.818 | 100 |
| 40.89 | 2.207 | 31 |
| 49.81 | 1.831 | 18 |
| 52.68 | 1.738 | 25 |
| 61.15 | 1.516 | 19 |
| 68.76 | 1.365 | 23 |

```
3
Lattice="4.414 0.000 0.000 -2.207 3.823 0.000 0.000 0.000 4.170" Properties=species:S:1:pos:R:3 pbc="T T T"
Th 0.000 0.000 0.000
Al 0.000 2.549 2.085
Al 2.207 1.274 2.085
```